Diffraction record for PmDy2Y5. The PXRD pattern is theoretical, not measured: it uses a DFT-relaxed cell (PBE, Alexandria) and Cu Kα (λ = 1.5418 Å).
Lines closer than 0.1° are merged.

Structural model:
```
data_PmDy2Y5
_chemical_formula_sum 'Pm2 Dy4 Y10'
_symmetry_space_group_name_H-M 'P 1 21/m 1'
_symmetry_Int_Tables_number 11
_cell_length_a 5.7924
_cell_length_b 11.2220
_cell_length_c 8.5288
_cell_angle_alpha 90.00
_cell_angle_beta 106.57
_cell_angle_gamma 90.00
loop_
_symmetry_equiv_pos_as_xyz
'x,y,z'
'-x,-y,-z'
'-x,y+1/2,-z'
'x,-y+1/2,z'
loop_
_atom_site_label
_atom_site_fract_x
_atom_site_fract_y
_atom_site_fract_z
_atom_site_occupancy
Pm1 0.0010 0.2500 0.1535 1
Dy1 0.3878 0.1164 0.9635 1
Y1 0.1659 0.5770 0.2095 1
Y2 0.2677 0.2500 0.5812 1
Y3 0.3015 0.5782 0.6209 1
```

Most intense lines, 10° ≤ 2θ ≤ 90°, low angle first:
10.82°, I 78, hkl 0 0 1
29.12°, I 91, hkl 1 3 -1
30.64°, I 49, hkl 1 0 2
30.93°, I 50, hkl 2 0 -1
32.20°, I 100, hkl 1 0 -3
32.45°, I 89, hkl 0 3 2

***

Diffraction record for Pm4Dy5Y. The PXRD pattern is theoretical, not measured: it uses a DFT-relaxed cell (PBE, Alexandria) and Cu Kα (λ = 1.5418 Å).
Lines closer than 0.1° are merged.

Structural model:
```
data_Pm4Dy5Y
_chemical_formula_sum 'Pm8 Dy10 Y2'
_symmetry_space_group_name_H-M 'C 1 2/m 1'
_symmetry_Int_Tables_number 12
_cell_length_a 25.6079
_cell_length_b 3.5924
_cell_length_c 7.1790
_cell_angle_alpha 90.00
_cell_angle_beta 98.04
_cell_angle_gamma 90.00
loop_
_symmetry_equiv_pos_as_xyz
'x,y,z'
'-x,-y,-z'
'-x,y,-z'
'x,-y,z'
'x+1/2,y+1/2,z'
'-x+1/2,-y+1/2,-z'
'-x+1/2,y+1/2,-z'
'x+1/2,-y+1/2,z'
loop_
_atom_site_label
_atom_site_fract_x
_atom_site_fract_y
_atom_site_fract_z
_atom_site_occupancy
Pm1 0.1008 0.0000 0.2996 1
Pm2 0.1009 0.0000 0.8019 1
Dy1 0.0000 0.5000 0.0000 1
Dy2 0.2011 0.5000 0.1008 1
Dy3 0.2008 0.5000 0.6002 1
Y1 0.0000 0.5000 0.5000 1
```

Most intense lines, 10° ≤ 2θ ≤ 90°, low angle first:
30.50°, I 100, hkl 5 1 0
35.37°, I 51, hkl 1 1 -2
50.88°, I 36, hkl 0 2 0
60.49°, I 43, hkl 4 2 2
63.49°, I 12, hkl 10 2 0
82.92°, I 15, hkl 2 0 6

***

Diffraction record for Pm3Dy2Y3. The PXRD pattern is theoretical, not measured: it uses a DFT-relaxed cell (PBE, Alexandria) and Cu Kα (λ = 1.5418 Å).
Lines closer than 0.1° are merged.

Structural model:
```
data_Pm3Dy2Y3
_chemical_formula_sum 'Pm6 Dy4 Y6'
_symmetry_space_group_name_H-M 'P 1 21/m 1'
_symmetry_Int_Tables_number 11
_cell_length_a 6.2036
_cell_length_b 14.3810
_cell_length_c 6.2274
_cell_angle_alpha 90.00
_cell_angle_beta 109.35
_cell_angle_gamma 90.00
loop_
_symmetry_equiv_pos_as_xyz
'x,y,z'
'-x,-y,-z'
'-x,y+1/2,-z'
'x,-y+1/2,z'
loop_
_atom_site_label
_atom_site_fract_x
_atom_site_fract_y
_atom_site_fract_z
_atom_site_occupancy
Pm1 0.2494 0.1248 0.2498 1
Pm2 0.2495 0.2500 0.7498 1
Dy1 0.2503 0.6251 0.2503 1
Y1 0.2502 0.0004 0.7500 1
Y2 0.2507 0.7500 0.7504 1
```

Most intense lines, 10° ≤ 2θ ≤ 90°, low angle first:
30.46°, I 100, hkl 0 0 2
30.55°, I 33, hkl 2 0 0
35.34°, I 67, hkl 1 4 1
50.79°, I 32, hkl 2 0 2
60.39°, I 33, hkl 2 8 0
60.50°, I 19, hkl 3 4 1

***

Diffraction record for Pm3Dy3Y5. The PXRD pattern is theoretical, not measured: it uses a DFT-relaxed cell (PBE, Alexandria) and Cu Kα (λ = 1.5418 Å).
Lines closer than 0.1° are merged.

Structural model:
```
data_Pm3Dy3Y5
_chemical_formula_sum 'Pm3 Dy3 Y5'
_symmetry_space_group_name_H-M 'P -6 2 m'
_symmetry_Int_Tables_number 189
_symmetry_space_group_name_Hall 'P -6 -2'
_cell_length_a 11.1245
_cell_length_b 11.1245
_cell_length_c 3.4865
_cell_angle_alpha 90.00
_cell_angle_beta 90.00
_cell_angle_gamma 120.00
loop_
_atom_site_label
_atom_site_fract_x
_atom_site_fract_y
_atom_site_fract_z
_atom_site_occupancy
Pm1 0.0000 0.8384 0.0000 1
Dy1 0.0000 0.5962 0.5000 1
Y1 0.0000 0.3437 0.0000 1
Y2 0.3333 0.6667 0.0000 1
```

Most intense lines, 10° ≤ 2θ ≤ 90°, low angle first:
27.78°, I 42, hkl 3 0 0
30.25°, I 73, hkl 1 1 1
33.54°, I 100, hkl 3 1 0
35.65°, I 79, hkl 2 1 1
41.54°, I 65, hkl 2 2 1
63.78°, I 58, hkl 6 0 1

***

Diffraction record for Pm5DyY. The PXRD pattern is theoretical, not measured: it uses a DFT-relaxed cell (PBE, Alexandria) and Cu Kα (λ = 1.5418 Å).
Lines closer than 0.1° are merged.

Structural model:
```
data_Pm5DyY
_chemical_formula_sum 'Pm5 Dy1 Y1'
_symmetry_space_group_name_H-M 'P -1'
_symmetry_Int_Tables_number 2
_cell_length_a 6.2768
_cell_length_b 6.6858
_cell_length_c 6.7040
_cell_angle_alpha 118.39
_cell_angle_beta 95.94
_cell_angle_gamma 96.31
loop_
_symmetry_equiv_pos_as_xyz
'x,y,z'
'-x,-y,-z'
loop_
_atom_site_label
_atom_site_fract_x
_atom_site_fract_y
_atom_site_fract_z
_atom_site_occupancy
Pm1 0.0000 0.0000 0.0000 1
Pm2 0.2730 0.5859 0.5852 1
Pm3 0.4983 0.8083 0.1909 1
Dy1 0.0000 0.5000 0.0000 1
Y1 0.0000 0.0000 0.5000 1
```

Most intense lines, 10° ≤ 2θ ≤ 90°, low angle first:
26.77°, I 30, hkl 0 1 -2
29.13°, I 30, hkl 2 0 0
30.41°, I 45, hkl 2 0 -1
31.11°, I 38, hkl 0 2 -2
31.69°, I 100, hkl 1 0 -2
33.01°, I 50, hkl 1 1 1

***

Diffraction record for Pm3Dy4Y3. The PXRD pattern is theoretical, not measured: it uses a DFT-relaxed cell (PBE, Alexandria) and Cu Kα (λ = 1.5418 Å).
Lines closer than 0.1° are merged.

Structural model:
```
data_Pm3Dy4Y3
_chemical_formula_sum 'Pm6 Dy8 Y6'
_symmetry_space_group_name_H-M 'A m m 2'
_symmetry_Int_Tables_number 38
_cell_length_a 3.7063
_cell_length_b 13.3218
_cell_length_c 13.3821
_cell_angle_alpha 90.00
_cell_angle_beta 90.00
_cell_angle_gamma 90.00
loop_
_symmetry_equiv_pos_as_xyz
'x,y,z'
'-x,-y,z'
'-x,y,z'
'x,-y,z'
'x,y+1/2,z+1/2'
'-x,-y+1/2,z+1/2'
'-x,y+1/2,z+1/2'
'x,-y+1/2,z+1/2'
loop_
_atom_site_label
_atom_site_fract_x
_atom_site_fract_y
_atom_site_fract_z
_atom_site_occupancy
Pm1 0.0000 0.0000 0.0000 1
Pm2 0.0000 0.1731 0.6724 1
Dy1 0.5000 0.0000 0.5467 1
Dy2 0.5000 0.0000 0.7991 1
Dy3 0.5000 0.1257 0.1733 1
Y1 0.0000 0.0000 0.3459 1
Y2 0.5000 0.2471 0.4214 1
```

Most intense lines, 10° ≤ 2θ ≤ 90°, low angle first:
13.25°, I 18, hkl 0 0 2
29.93°, I 48, hkl 0 2 4
30.67°, I 18, hkl 1 2 2
32.14°, I 100, hkl 1 3 1
55.48°, I 13, hkl 1 6 4
58.64°, I 17, hkl 2 2 4

***

Diffraction record for Pm11Dy4Y9. The PXRD pattern is theoretical, not measured: it uses a DFT-relaxed cell (PBE, Alexandria) and Cu Kα (λ = 1.5418 Å).
Lines closer than 0.1° are merged.

Structural model:
```
data_Pm11Dy4Y9
_chemical_formula_sum 'Pm22 Dy8 Y18'
_symmetry_space_group_name_H-M 'C m m m'
_symmetry_Int_Tables_number 65
_symmetry_space_group_name_Hall '-C 2 2'
_cell_length_a 16.9935
_cell_length_b 25.7075
_cell_length_c 3.6744
_cell_angle_alpha 90.00
_cell_angle_beta 90.00
_cell_angle_gamma 90.00
loop_
_atom_site_label
_atom_site_fract_x
_atom_site_fract_y
_atom_site_fract_z
_atom_site_occupancy
Pm1 0.0000 0.0000 0.0000 1
Pm2 0.0000 0.1601 0.0000 1
Pm3 0.0000 0.3683 0.0000 1
Pm4 0.2071 0.5000 0.0000 1
Pm5 0.2257 0.1811 0.0000 1
Dy1 0.1563 0.3986 0.5000 1
Y1 0.0000 0.5000 0.5000 1
Y2 0.1022 0.2668 0.5000 1
Y3 0.1410 0.0730 0.5000 1
```

Most intense lines, 10° ≤ 2θ ≤ 90°, low angle first:
29.61°, I 95, hkl 4 6 0
29.92°, I 35, hkl 2 4 1
30.83°, I 37, hkl 3 3 1
32.09°, I 99, hkl 0 6 1
32.21°, I 100, hkl 4 0 1
49.61°, I 32, hkl 0 0 2

***

Diffraction record for PmDy3Y8. The PXRD pattern is theoretical, not measured: it uses a DFT-relaxed cell (PBE, Alexandria) and Cu Kα (λ = 1.5418 Å).
Lines closer than 0.1° are merged.

Structural model:
```
data_PmDy3Y8
_chemical_formula_sum 'Pm2 Dy6 Y16'
_symmetry_space_group_name_H-M 'I -4 2 m'
_symmetry_Int_Tables_number 121
_symmetry_space_group_name_Hall 'I -4 2'
_cell_length_a 8.7019
_cell_length_b 8.7019
_cell_length_c 11.4154
_cell_angle_alpha 90.00
_cell_angle_beta 90.00
_cell_angle_gamma 90.00
loop_
_atom_site_label
_atom_site_fract_x
_atom_site_fract_y
_atom_site_fract_z
_atom_site_occupancy
Pm1 0.0000 0.0000 0.0000 1
Dy1 0.0000 0.0000 0.5000 1
Dy2 0.0000 0.5000 0.2500 1
Y1 0.1264 0.1264 0.2533 1
Y2 0.2456 0.2456 0.5085 1
```

Most intense lines, 10° ≤ 2θ ≤ 90°, low angle first:
21.23°, I 59, hkl 1 1 2
24.16°, I 30, hkl 2 1 1
29.02°, I 67, hkl 2 2 0
31.34°, I 51, hkl 0 0 4
36.24°, I 100, hkl 3 1 2
43.24°, I 44, hkl 2 2 4

***

> What is the formula in the seventh record?

Pm11Dy4Y9

***

> What is the formula in the seventh record?

Pm11Dy4Y9

***

> Which formula does entry 2 have?

Pm4Dy5Y